Record 1
This entry pairs a crystal structure of Cs2ScH4 with its simulated XRD peak list. Radiation: copper Kα. Structure: a structure optimized by DFT (PBE).

Main lines, low angle first (5° ≤ 2θ ≤ 70°):
d = 4.105 Å, 21.7°, rel. 19, (1 0 1)
d = 3.912 Å, 22.7°, rel. 10, (0 0 4)
d = 3.296 Å, 27.0°, rel. 100, (1 0 3)
d = 3.008 Å, 29.7°, rel. 42, (1 1 0)
d = 2.608 Å, 34.4°, rel. 12, (0 0 6)
d = 2.384 Å, 37.7°, rel. 11, (1 1 4)
d = 2.127 Å, 42.5°, rel. 16, (2 0 0)
d = 1.970 Å, 46.1°, rel. 19, (1 1 6)
d = 1.787 Å, 51.1°, rel. 33, (2 1 3)
d = 1.648 Å, 55.8°, rel. 11, (2 0 6)

Atomic structure:
Unit cell a=4.254 b=4.254 c=15.647 alpha=90.00 beta=90.00 gamma=90.00
Space group I4/mmm (No. 139)
One atom of each set of equivalent atoms:
Cs 0.000 0.000 0.154 (multiplicity 4)
Sc 0.000 0.000 0.500 (multiplicity 2)
H 0.000 0.000 0.369 (multiplicity 4)
H 0.000 0.500 0.000 (multiplicity 4)



Record 2
This entry pairs a crystal structure of Cs6H4Se with its simulated XRD peak list. Radiation: copper Kα. Structure: a structure optimized by DFT (PBE).

Main lines, low angle first (5° ≤ 2θ ≤ 70°):
d = 3.892 Å, 22.8°, rel. 46, (1 1 3)
d = 3.697 Å, 24.1°, rel. 20, (0 4 1)
d = 3.550 Å, 25.1°, rel. 76, (1 1 4)
d = 3.398 Å, 26.2°, rel. 100, (0 2 6)
d = 3.294 Å, 27.1°, rel. 60, (1 3 2)
d = 3.135 Å, 28.5°, rel. 24, (1 3 3)
d = 2.372 Å, 37.9°, rel. 23, (2 0 0)
d = 2.216 Å, 40.7°, rel. 24, (1 5 5)
d = 1.945 Å, 46.7°, rel. 37, (2 2 6)
d = 1.905 Å, 47.7°, rel. 27, (0 0 12)

Atomic structure:
Unit cell a=4.743 b=14.984 c=22.872 alpha=90.00 beta=90.00 gamma=90.00
Space group Cmcm (No. 63)
One atom of each set of equivalent atoms:
Cs 0.000 0.000 0.000 (multiplicity 4)
Cs 0.000 0.170 0.250 (multiplicity 4)
Cs 0.000 0.271 0.586 (multiplicity 8)
Cs 0.000 0.451 0.159 (multiplicity 8)
H 0.000 0.095 0.123 (multiplicity 8)
H 0.000 0.362 0.039 (multiplicity 8)
Se 0.000 0.163 0.750 (multiplicity 4)



Record 3
This entry pairs a crystal structure of Cs4H2Se with its simulated XRD peak list. Radiation: copper Kα. Structure: a structure optimized by DFT (PBE).

Main lines, low angle first (5° ≤ 2θ ≤ 70°):
d = 5.334 Å, 16.6°, rel. 30, (0 2 2)
d = 4.324 Å, 20.5°, rel. 23, (1 3 1)
d = 3.772 Å, 23.6°, rel. 30, (0 0 4)
d = 3.691 Å, 24.1°, rel. 100, (2 2 2)
d = 3.359 Å, 26.5°, rel. 93, (1 3 3)
d = 3.247 Å, 27.5°, rel. 67, (3 1 1)
d = 2.842 Å, 31.5°, rel. 51, (1 5 1)
d = 2.256 Å, 40.0°, rel. 31, (2 6 0)
d = 2.089 Å, 43.3°, rel. 28, (1 7 1)
d = 2.038 Å, 44.5°, rel. 38, (4 4 2)

Atomic structure:
Unit cell a=10.226 b=15.075 c=15.101 alpha=90.00 beta=90.00 gamma=90.00
Space group Fddd (No. 70, origin choice 2)
One atom of each set of equivalent atoms:
Cs 0.050 0.284 0.466 (multiplicity 32)
H 0.000 0.000 0.000 (multiplicity 16)
Se 0.125 0.125 0.625 (multiplicity 8)



Record 4
This entry pairs a crystal structure of Cs3HSe2 with its simulated XRD peak list. Radiation: copper Kα. Structure: a structure optimized by DFT (PBE).

Main lines, low angle first (5° ≤ 2θ ≤ 70°):
d = 4.002 Å, 22.2°, rel. 40, (0 2 3)
d = 3.599 Å, 24.7°, rel. 32, (0 4 1)
d = 3.561 Å, 25.0°, rel. 28, (1 2 -2)
d = 3.467 Å, 25.7°, rel. 100, (1 3 0)
d = 3.211 Å, 27.8°, rel. 25, (0 2 4)
d = 3.118 Å, 28.6°, rel. 27, (1 2 -3)
d = 3.060 Å, 29.2°, rel. 21, (1 2 3)
d = 2.743 Å, 32.6°, rel. 24, (1 4 -2)
d = 2.705 Å, 33.1°, rel. 21, (1 2 -4)
d = 2.428 Å, 37.0°, rel. 39, (2 0 0)

Atomic structure:
Unit cell a=4.858 b=14.880 c=14.244 alpha=90.00 beta=91.31 gamma=90.00
Space group P2_1/c (No. 14)
One atom of each set of equivalent atoms:
Cs 0.233 0.041 0.137 (multiplicity 4)
Cs 0.243 0.687 0.786 (multiplicity 4)
Cs 0.246 0.109 0.445 (multiplicity 4)
H 0.445 0.167 0.950 (multiplicity 4)
Se 0.259 0.017 0.687 (multiplicity 4)
Se 0.266 0.683 0.517 (multiplicity 4)



Record 5
This entry pairs a crystal structure of CsH2Se5 with its simulated XRD peak list. Radiation: copper Kα. Structure: a structure optimized by DFT (PBE).

Main lines, low angle first (5° ≤ 2θ ≤ 70°):
d = 8.009 Å, 11.0°, rel. 33, (0 2 0)
d = 3.953 Å, 22.5°, rel. 44, (0 1 2)
d = 3.635 Å, 24.5°, rel. 100, (0 2 2)
d = 3.240 Å, 27.5°, rel. 52, (1 0 0)
d = 2.982 Å, 30.0°, rel. 80, (1 0 1)
d = 2.858 Å, 31.3°, rel. 52, (0 4 2)
d = 2.844 Å, 31.5°, rel. 42, (1 2 -1)
d = 2.793 Å, 32.0°, rel. 38, (1 2 1)
d = 2.575 Å, 34.8°, rel. 31, (1 0 -2)
d = 1.827 Å, 49.9°, rel. 33, (1 4 3)

Atomic structure:
Unit cell a=3.241 b=16.018 c=8.161 alpha=90.00 beta=91.72 gamma=90.00
Space group P2_1/m (No. 11)
One atom of each set of equivalent atoms:
Cs 0.004 0.250 0.486 (multiplicity 2)
H 0.481 0.077 0.134 (multiplicity 4)
Se 0.457 0.750 0.015 (multiplicity 2)
Se 0.470 0.628 0.173 (multiplicity 4)
Se 0.489 0.058 0.314 (multiplicity 4)



Record 6
This entry pairs a crystal structure of CsH2Se with its simulated XRD peak list. Radiation: copper Kα. Structure: a structure optimized by DFT (PBE).

Main lines, low angle first (5° ≤ 2θ ≤ 70°):
d = 3.625 Å, 24.6°, rel. 67, (1 0 1)
d = 3.460 Å, 25.7°, rel. 59, (0 2 0)
d = 3.316 Å, 26.9°, rel. 100, (1 1 -1)
d = 2.503 Å, 35.9°, rel. 49, (1 2 1)
d = 2.475 Å, 36.3°, rel. 46, (0 1 2)
d = 2.420 Å, 37.2°, rel. 40, (2 1 0)
d = 1.969 Å, 46.1°, rel. 25, (1 3 -1)
d = 1.740 Å, 52.6°, rel. 16, (0 3 2)
d = 1.721 Å, 53.2°, rel. 16, (2 3 0)
d = 1.606 Å, 57.4°, rel. 24, (1 1 3)

Atomic structure:
Unit cell a=5.171 b=6.920 c=5.304 alpha=90.00 beta=92.37 gamma=90.00
Space group P2_1/m (No. 11)
One atom of each set of equivalent atoms:
Cs 0.131 0.250 0.381 (multiplicity 2)
H 0.382 0.593 0.875 (multiplicity 4)
Se 0.421 0.750 0.103 (multiplicity 2)